No. 1
Theoretical powder X-ray diffraction pattern of Tl5Se2Cl for Cu Kα X-rays, from the GGA-PBE geometry in Alexandria.
Lines closer than 0.1° are merged.

Structural model:
Cell: 8.737 8.737 13.268 Å, 90.00 90.00 90.00°
Space group P4/ncc (No. 130, origin choice 2)
Unique sites:
Tl (0.084, 0.625, 0.107)
Tl (0.250, 0.250, 0.202)
Se (0.089, 0.589, 0.750)
Cl (0.250, 0.250, 0.454)

Top 6 peaks for 5° ≤ 2θ ≤ 70°, sorted by position:
| two_theta | d_spacing | I/Imax | (hkl) |
| --- | --- | --- | --- |
| 23.7 | 3.748 | 23 | 2 1 1 |
| 26.5 | 3.367 | 16 | 2 1 2 |
| 30.5 | 2.928 | 100 | 2 1 3 |
| 32.4 | 2.763 | 50 | 3 1 0 |
| 46.5 | 1.955 | 13 | 4 2 0 |
| 60.8 | 1.523 | 14 | 5 2 3 |

=====

No. 2
Theoretical powder X-ray diffraction pattern of U4Se6Cl for Cu Kα X-rays, from the GGA-PBE geometry in Alexandria.
Lines closer than 0.1° are merged.

Structural model:
Cell: 8.9290 8.9290 3.8714 Å, 90.00 90.00 120.00°
Space group P-6m2 (No. 187)
Unique sites:
U (0.0000, 0.0000, 0.0000)
U (0.0247, 0.5124, 0.5000)
Se (0.2065, 0.4131, 0.0000)
Se (0.2807, 0.1404, 0.5000)
Cl (0.6667, 0.3333, 0.0000)

Top 6 peaks for 5° ≤ 2θ ≤ 70°, sorted by position:
| two_theta | d_spacing | I/Imax | (hkl) |
| --- | --- | --- | --- |
| 23.0 | 3.867 | 100 | 2 0 0 |
| 30.6 | 2.924 | 69 | 1 1 1 |
| 32.7 | 2.736 | 58 | 2 0 1 |
| 38.6 | 2.333 | 91 | 2 1 1 |
| 40.4 | 2.232 | 64 | 2 2 0 |
| 47.0 | 1.934 | 52 | 0 0 2 |

=====

No. 3
Theoretical powder X-ray diffraction pattern of USeCl3 for Cu Kα X-rays, from the GGA-PBE geometry in Alexandria.
Lines closer than 0.1° are merged.

Structural model:
Cell: 7.241 7.481 13.822 Å, 90.00 96.41 90.00°
Space group P2/c (No. 13)
Unique sites:
U (0.084, 0.116, 0.136)
Se (0.150, 0.388, 0.291)
Cl (0.122, 0.195, 0.536)
Cl (0.221, 0.060, 0.799)
Cl (0.372, 0.240, 0.074)

Top 6 peaks for 5° ≤ 2θ ≤ 70°, sorted by position:
| two_theta | d_spacing | I/Imax | (hkl) |
| --- | --- | --- | --- |
| 11.8 | 7.481 | 43 | 0 1 0 |
| 12.3 | 7.195 | 100 | 1 0 0 |
| 13.5 | 6.570 | 66 | 0 1 1 |
| 18.8 | 4.722 | 43 | 1 0 2 |
| 30.0 | 2.974 | 24 | 1 0 4 |
| 32.5 | 2.756 | 35 | 1 2 -3 |

=====

No. 4
Theoretical powder X-ray diffraction pattern of WSe2Cl5 for Cu Kα X-rays, from the GGA-PBE geometry in Alexandria.
Lines closer than 0.1° are merged.

Structural model:
Cell: 4.862 8.058 8.067 Å, 82.27 72.46 72.50°
Space group P1 (No. 1)
Unique sites:
W (0.000, 0.000, 0.000)
Se (0.279, 0.500, 0.500)
Se (0.738, 0.500, 0.500)
Cl (0.146, 0.008, 0.699)
Cl (0.146, 0.699, 0.008)
Cl (0.499, 0.000, 0.000)
Cl (0.853, 0.301, 0.992)
Cl (0.853, 0.992, 0.301)

Top 6 peaks for 5° ≤ 2θ ≤ 70°, sorted by position:
| two_theta | d_spacing | I/Imax | (hkl) |
| --- | --- | --- | --- |
| 15.9 | 5.567 | 88 | 0 1 1 |
| 16.7 | 5.304 | 73 | 0 1 -1 |
| 19.9 | 4.456 | 42 | 1 0 0 |
| 20.1 | 4.420 | 56 | 1 0 1 |
| 23.2 | 3.840 | 100 | 0 2 0 |
| 38.9 | 2.318 | 58 | 2 1 2 |

=====

No. 5
Theoretical powder X-ray diffraction pattern of WSeCl2 for Cu Kα X-rays, from the GGA-PBE geometry in Alexandria.
Lines closer than 0.1° are merged.

Structural model:
Cell: 15.040 3.035 4.535 Å, 90.00 107.38 90.00°
Space group C2/m (No. 12)
Unique sites:
W (0.000, 0.000, 0.000)
Se (0.000, 0.500, 0.500)
Cl (0.139, 0.500, 0.138)

Top 6 peaks for 5° ≤ 2θ ≤ 70°, sorted by position:
| two_theta | d_spacing | I/Imax | (hkl) |
| --- | --- | --- | --- |
| 12.3 | 7.177 | 100 | 2 0 0 |
| 20.5 | 4.324 | 23 | 0 0 1 |
| 24.8 | 3.588 | 12 | 4 0 0 |
| 37.8 | 2.379 | 33 | 3 1 -1 |
| 39.8 | 2.267 | 10 | 2 0 -2 |
| 43.9 | 2.063 | 30 | 3 1 1 |

=====

No. 6
Theoretical powder X-ray diffraction pattern of YSeCl4 for Cu Kα X-rays, from the GGA-PBE geometry in Alexandria.
Lines closer than 0.1° are merged.

Structural model:
Cell: 8.149 8.149 8.149 Å, 90.00 90.00 90.00°
Space group F-43m (No. 216)
Unique sites:
Y (0.000, 0.000, 0.000)
Se (0.250, 0.250, 0.250)
Cl (0.126, 0.126, 0.626)

Top 6 peaks for 5° ≤ 2θ ≤ 70°, sorted by position:
| two_theta | d_spacing | I/Imax | (hkl) |
| --- | --- | --- | --- |
| 31.0 | 2.881 | 62 | 2 2 0 |
| 36.6 | 2.457 | 100 | 3 1 1 |
| 38.3 | 2.353 | 16 | 2 2 2 |
| 55.2 | 1.663 | 23 | 4 2 2 |
| 58.9 | 1.568 | 30 | 3 3 3 |
| 64.7 | 1.441 | 22 | 4 4 0 |

=====

No. 7
Theoretical powder X-ray diffraction pattern of Zn4SeCl for Cu Kα X-rays, from the GGA-PBE geometry in Alexandria.
Lines closer than 0.1° are merged.

Structural model:
Cell: 7.602 7.602 7.602 Å, 90.00 90.00 90.00°
Space group F-43m (No. 216)
Unique sites:
Zn (0.124, 0.124, 0.376)
Se (0.250, 0.250, 0.750)
Cl (0.000, 0.000, 0.000)

Top 6 peaks for 5° ≤ 2θ ≤ 70°, sorted by position:
| two_theta | d_spacing | I/Imax | (hkl) |
| --- | --- | --- | --- |
| 20.2 | 4.389 | 16 | 1 1 1 |
| 33.3 | 2.688 | 21 | 2 2 0 |
| 39.3 | 2.292 | 100 | 3 1 1 |
| 41.1 | 2.195 | 48 | 2 2 2 |
| 47.9 | 1.901 | 8 | 4 0 0 |
| 63.6 | 1.463 | 30 | 3 3 3 |

=====

No. 8
Theoretical powder X-ray diffraction pattern of ZrSe2Cl5 for Cu Kα X-rays, from the GGA-PBE geometry in Alexandria.
Lines closer than 0.1° are merged.

Structural model:
Cell: 6.976 7.641 7.805 Å, 70.10 64.34 71.17°
Space group P1 (No. 1)
Unique sites:
Zr (0.000, 0.000, 0.000)
Se (0.597, 0.398, 0.545)
Se (0.856, 0.528, 0.501)
Cl (0.180, 0.156, 0.667)
Cl (0.286, 0.933, 0.112)
Cl (0.711, 0.266, 0.069)
Cl (0.749, 0.864, 0.382)
Cl (0.958, 0.739, 0.933)

Top 6 peaks for 5° ≤ 2θ ≤ 70°, sorted by position:
| two_theta | d_spacing | I/Imax | (hkl) |
| --- | --- | --- | --- |
| 14.4 | 6.152 | 49 | 1 0 0 |
| 15.5 | 5.721 | 44 | 1 0 1 |
| 15.7 | 5.641 | 35 | 1 1 1 |
| 15.8 | 5.604 | 100 | 0 1 1 |
| 21.1 | 4.217 | 38 | 1 -1 0 |
| 26.1 | 3.419 | 45 | 0 0 2 |

=====

No. 9
Theoretical powder X-ray diffraction pattern of ZrSe4Cl for Cu Kα X-rays, from the GGA-PBE geometry in Alexandria.
Lines closer than 0.1° are merged.

Structural model:
Cell: 7.978 7.978 7.978 Å, 90.00 90.00 90.00°
Space group F-43m (No. 216)
Unique sites:
Zr (0.000, 0.000, 0.000)
Se (0.125, 0.125, 0.375)
Cl (0.250, 0.250, 0.750)

Top 6 peaks for 5° ≤ 2θ ≤ 70°, sorted by position:
| two_theta | d_spacing | I/Imax | (hkl) |
| --- | --- | --- | --- |
| 19.3 | 4.606 | 17 | 1 1 1 |
| 31.7 | 2.821 | 21 | 2 2 0 |
| 37.4 | 2.406 | 100 | 3 1 1 |
| 39.1 | 2.303 | 48 | 2 2 2 |
| 60.3 | 1.535 | 32 | 3 3 3 |
| 66.3 | 1.410 | 28 | 4 4 0 |

=====

No. 10
Theoretical powder X-ray diffraction pattern of Si23Cl for Cu Kα X-rays, from the GGA-PBE geometry in Alexandria.
Lines closer than 0.1° are merged.

Structural model:
Cell: 10.230 10.230 10.230 Å, 90.00 90.00 90.00°
Space group Pm-3n (No. 223)
Unique sites:
Si (0.000, 0.117, 0.308)
Si (0.000, 0.250, 0.500)
Si (0.183, 0.183, 0.183)
Cl (0.000, 0.000, 0.000)

Top 6 peaks for 5° ≤ 2θ ≤ 70°, sorted by position:
| two_theta | d_spacing | I/Imax | (hkl) |
| --- | --- | --- | --- |
| 12.2 | 7.234 | 38 | 1 1 0 |
| 19.4 | 4.575 | 75 | 2 1 0 |
| 32.8 | 2.734 | 100 | 3 2 1 |
| 36.2 | 2.481 | 25 | 4 1 0 |
| 52.1 | 1.754 | 49 | 5 3 0 |
| 55.4 | 1.660 | 46 | 5 3 2 |

=====

No. 11
Theoretical powder X-ray diffraction pattern of Si5Cl for Cu Kα X-rays, from the GGA-PBE geometry in Alexandria.
Lines closer than 0.1° are merged.

Structural model:
Cell: 6.800 3.064 10.257 Å, 90.00 90.00 90.00°
Space group Amm2 (No. 38)
Unique sites:
Si (0.000, 0.000, 0.000)
Si (0.000, 0.000, 0.296)
Si (0.208, 0.000, 0.648)
Si (0.500, 0.000, 0.112)
Cl (0.500, 0.000, 0.905)

Top 6 peaks for 5° ≤ 2θ ≤ 70°, sorted by position:
| two_theta | d_spacing | I/Imax | (hkl) |
| --- | --- | --- | --- |
| 31.6 | 2.834 | 43 | 2 0 2 |
| 37.5 | 2.399 | 33 | 1 0 4 |
| 39.5 | 2.282 | 34 | 0 1 3 |
| 40.6 | 2.222 | 100 | 2 1 1 |
| 41.8 | 2.163 | 49 | 1 1 3 |
| 54.0 | 1.699 | 44 | 4 0 0 |

=====

No. 12
Theoretical powder X-ray diffraction pattern of SiCl2 for Cu Kα X-rays, from the GGA-PBE geometry in Alexandria.
Lines closer than 0.1° are merged.

Structural model:
Cell: 4.030 7.352 13.837 Å, 90.00 90.00 90.00°
Space group P2_12_12_1 (No. 19)
Unique sites:
Si (0.024, 0.166, 0.011)
Cl (0.023, 0.956, 0.911)
Cl (0.024, 0.061, 0.149)

Top 6 peaks for 5° ≤ 2θ ≤ 70°, sorted by position:
| two_theta | d_spacing | I/Imax | (hkl) |
| --- | --- | --- | --- |
| 12.8 | 6.919 | 43 | 0 0 2 |
| 13.6 | 6.493 | 39 | 0 1 1 |
| 25.1 | 3.553 | 14 | 0 2 1 |
| 26.0 | 3.424 | 100 | 1 1 1 |
| 28.5 | 3.130 | 18 | 0 1 4 |
| 35.6 | 2.519 | 14 | 0 2 4 |

=====

No. 13
Theoretical powder X-ray diffraction pattern of SiCl4 for Cu Kα X-rays, from the GGA-PBE geometry in Alexandria.
Lines closer than 0.1° are merged.

Structural model:
Cell: 5.952 5.952 10.757 Å, 90.00 90.00 90.00°
Space group I-42m (No. 121)
Unique sites:
Si (0.000, 0.000, 0.000)
Cl (0.197, 0.197, 0.891)

Top 6 peaks for 5° ≤ 2θ ≤ 70°, sorted by position:
| two_theta | d_spacing | I/Imax | (hkl) |
| --- | --- | --- | --- |
| 16.5 | 5.378 | 17 | 0 0 2 |
| 17.0 | 5.208 | 83 | 1 0 1 |
| 26.9 | 3.314 | 100 | 1 1 2 |
| 34.7 | 2.584 | 16 | 2 1 1 |
| 42.3 | 2.137 | 22 | 2 1 3 |
| 45.5 | 1.995 | 21 | 2 0 4 |